(1)
This entry pairs a crystal structure of Tb3Pm5Sc with its computed XRD peak list. Radiation: Cu Kα. Structure: a GGA-PBE-relaxed structure.

Top 6 peaks for 2θ = 5–70°, in order of falling intensity:
- 2θ 30.15, I = 100
- 2θ 31.67, I = 62
- 2θ 14.95, I = 43
- 2θ 38.42, I = 41
- 2θ 29.39, I = 39
- 2θ 31.20, I = 39

Atomic structure:
a b c (Å): 9.525 9.525 8.663
angles (deg): 112.66 112.66 76.95
Fractional positions:
Tb 0.000 0.000 0.000
Tb 0.000 0.000 0.500
Tb 0.274 0.274 0.213
Tb 0.370 0.370 0.946
Tb 0.630 0.630 0.054
Tb 0.726 0.726 0.787
Pm 0.079 0.586 0.274
Pm 0.197 0.197 0.475
Pm 0.257 0.743 0.000
Pm 0.414 0.921 0.726
Pm 0.456 0.456 0.645
Pm 0.544 0.544 0.355
Pm 0.586 0.079 0.274
Pm 0.743 0.257 0.000
Pm 0.803 0.803 0.525
Pm 0.921 0.414 0.726
Sc 0.146 0.146 0.852
Sc 0.854 0.854 0.148

(2)
This entry pairs a crystal structure of Tb3Pm6Sc with its computed XRD peak list. Radiation: Cu Kα. Structure: a GGA-PBE-relaxed structure.

Top 6 peaks for 2θ = 5–70°, in order of falling intensity:
- 2θ 31.36, I = 100
- 2θ 28.96, I = 76
- 2θ 54.35, I = 26
- 2θ 43.20, I = 26
- 2θ 55.82, I = 19
- 2θ 56.73, I = 19

Atomic structure:
a b c (Å): 6.937 6.937 6.937
angles (deg): 90.84 90.84 90.84
Fractional positions:
Tb 0.000 0.000 0.000
Tb 0.254 0.254 0.254
Tb 0.509 0.509 0.509
Pm 0.000 0.674 0.341
Pm 0.168 0.510 0.835
Pm 0.341 0.000 0.674
Pm 0.510 0.835 0.168
Pm 0.674 0.341 0.000
Pm 0.835 0.168 0.510
Sc 0.754 0.754 0.754